Diffraction record for YH8Pd6. The powder diffractogram is calculated, not measured: it uses a GGA-PBE-relaxed structure and Cu Kα.
No peak broadening, texture or thermal motion is included.

Unit cell a=5.3091 b=5.3091 c=5.3091 alpha=99.08 beta=99.08 gamma=99.08
Fractional positions:
Y: 0.0000 0.0000 0.0000
H: 0.1900 0.6261 0.7974
H: 0.2026 0.8100 0.3739
H: 0.3113 0.3113 0.3113
H: 0.3739 0.2026 0.8100
H: 0.6261 0.7974 0.1900
H: 0.6887 0.6887 0.6887
H: 0.7974 0.1900 0.6261
H: 0.8100 0.3739 0.2026
Pd: 0.1272 0.2934 0.5792
Pd: 0.2934 0.5792 0.1272
Pd: 0.4208 0.8728 0.7066
Pd: 0.5792 0.1272 0.2934
Pd: 0.7066 0.4208 0.8728
Pd: 0.8728 0.7066 0.4208

Main lines, in order of rising 2θ (10 to 90 degrees two-theta):
two_theta, I/Imax
35.40, 357
35.95, 1000
41.59, 677
59.91, 226
60.65, 203
72.23, 237